1.
Calculated powder diffractogram
Compound: VF4
Radiation: Cu Kα X-rays
Structure: a crystal structure in the Materials Project, relaxed with PBE+U
Lines closer than 0.1° are merged.

Largest 10 diffraction maxima, in order of falling intensity, 5° ≤ 2θ ≤ 70°:
- 16.84°, rel. 100.0
- 24.35°, rel. 71.1
- 29.75°, rel. 43.9
- 40.92°, rel. 32.0
- 53.03°, rel. 22.7
- 39.00°, rel. 13.9
- 51.48°, rel. 11.4
- 31.80°, rel. 10.4
- 61.79°, rel. 10.4
- 42.30°, rel. 10.3

```
VF4
1.0
5.629 0.000 0.000
0.000 5.266 0.000
0.000 0.000 4.808
V F
2 8
Direct
0.000 0.000 0.000
0.500 0.000 0.500
0.000 0.287 0.192
0.000 0.713 0.808
0.250 0.131 0.750
0.250 0.869 0.250
0.500 0.287 0.308
0.500 0.713 0.692
0.750 0.131 0.750
0.750 0.869 0.250
```



2.
Calculated powder diffractogram
Compound: VF4
Radiation: Cu Kα X-rays
Structure: a crystal structure in the Materials Project, relaxed with PBE+U
Lines closer than 0.1° are merged.

Largest 10 diffraction maxima, in order of falling intensity, 5° ≤ 2θ ≤ 70°:
- 24.55°, rel. 100.0
- 17.77°, rel. 94.9
- 13.98°, rel. 65.2
- 21.70°, rel. 49.8
- 42.84°, rel. 48.2
- 28.18°, rel. 31.9
- 55.17°, rel. 28.2
- 46.68°, rel. 21.7
- 65.20°, rel. 17.6
- 32.99°, rel. 12.1

```
VF4
1.0
7.784 0.000 0.000
0.000 8.193 0.000
0.000 0.000 9.983
V F
8 32
Direct
0.140 0.054 0.249
0.140 0.446 0.249
0.360 0.554 0.749
0.360 0.946 0.749
0.640 0.054 0.251
0.640 0.446 0.251
0.860 0.554 0.751
0.860 0.946 0.751
0.110 0.562 0.763
0.110 0.938 0.763
0.128 0.573 0.391
0.128 0.927 0.391
0.131 0.250 0.368
0.150 0.250 0.130
0.152 0.572 0.106
0.152 0.928 0.106
0.348 0.072 0.606
0.348 0.428 0.606
0.350 0.750 0.630
0.369 0.750 0.868
0.372 0.073 0.891
0.372 0.427 0.891
0.390 0.062 0.263
0.390 0.438 0.263
0.610 0.562 0.737
0.610 0.938 0.737
0.628 0.573 0.109
0.628 0.927 0.109
0.631 0.250 0.132
0.650 0.250 0.370
0.652 0.572 0.394
0.652 0.928 0.394
0.848 0.072 0.894
0.848 0.428 0.894
0.850 0.750 0.870
0.869 0.750 0.632
0.872 0.073 0.609
0.872 0.427 0.609
0.890 0.062 0.237
0.890 0.438 0.237
```



3.
Calculated powder diffractogram
Compound: VF4
Radiation: Cu Kα X-rays
Structure: a crystal structure in the Materials Project, relaxed with PBE+U
Lines closer than 0.1° are merged.

Largest 10 diffraction maxima, in order of falling intensity, 5° ≤ 2θ ≤ 70°:
- 20.04°, rel. 100.0
- 18.33°, rel. 57.4
- 39.09°, rel. 36.0
- 35.49°, rel. 16.3
- 50.75°, rel. 15.9
- 52.72°, rel. 13.5
- 33.07°, rel. 13.0
- 28.98°, rel. 11.0
- 44.54°, rel. 10.6
- 61.28°, rel. 8.4

```
VF4
1.0
4.984 0.000 0.000
0.000 9.682 0.000
0.000 0.000 3.081
V F
2 8
Direct
0.000 0.000 0.000
0.500 0.500 0.000
0.190 0.083 0.500
0.231 0.861 0.000
0.269 0.361 0.000
0.310 0.583 0.500
0.690 0.417 0.500
0.731 0.639 0.000
0.769 0.139 0.000
0.810 0.917 0.500
```



4.
Calculated powder diffractogram
Compound: V3F10
Radiation: Cu Kα X-rays
Structure: a crystal structure in the Materials Project, relaxed with PBE+U
Lines closer than 0.1° are merged.

Largest 10 diffraction maxima, in order of falling intensity, 5° ≤ 2θ ≤ 70°:
- 23.16°, rel. 100.0
- 18.47°, rel. 66.7
- 13.72°, rel. 53.0
- 28.40°, rel. 49.5
- 12.30°, rel. 32.5
- 49.36°, rel. 27.7
- 47.34°, rel. 24.0
- 27.65°, rel. 23.6
- 47.22°, rel. 22.5
- 55.20°, rel. 17.7

```
V3F10
1.0
6.453 0.000 0.000
0.000 7.195 0.000
0.000 0.000 7.680
V F
6 20
Direct
0.000 0.000 0.250
0.000 0.000 0.750
0.500 0.272 0.250
0.500 0.272 0.750
0.500 0.728 0.250
0.500 0.728 0.750
0.038 0.000 0.000
0.201 0.196 0.275
0.201 0.804 0.725
0.203 0.196 0.725
0.203 0.804 0.275
0.336 0.500 0.296
0.336 0.500 0.704
0.449 0.266 0.000
0.449 0.734 0.000
0.500 0.000 0.250
0.500 0.000 0.750
0.551 0.266 0.500
0.551 0.734 0.500
0.664 0.500 0.204
0.664 0.500 0.796
0.797 0.196 0.775
0.797 0.804 0.225
0.799 0.196 0.225
0.799 0.804 0.775
0.962 0.000 0.500
```



5.
Calculated powder diffractogram
Compound: VF4
Radiation: Cu Kα X-rays
Structure: a crystal structure in the Materials Project, relaxed with PBE+U
Lines closer than 0.1° are merged.

Largest 10 diffraction maxima, in order of falling intensity, 5° ≤ 2θ ≤ 70°:
- 18.89°, rel. 100.0
- 42.65°, rel. 37.2
- 34.80°, rel. 20.5
- 22.49°, rel. 20.2
- 64.45°, rel. 14.9
- 45.92°, rel. 13.6
- 57.16°, rel. 11.8
- 30.62°, rel. 9.7
- 28.96°, rel. 9.6
- 48.74°, rel. 7.5

```
VF4
1.0
5.839 0.000 0.000
0.000 7.905 0.000
0.000 0.000 3.083
V F
2 8
Direct
0.000 0.000 0.000
0.500 0.500 0.000
0.000 0.224 0.000
0.000 0.776 0.000
0.213 0.000 0.500
0.287 0.500 0.500
0.500 0.276 0.000
0.500 0.724 0.000
0.713 0.500 0.500
0.787 0.000 0.500
```



6.
Calculated powder diffractogram
Compound: VF4
Radiation: Cu Kα X-rays
Structure: a crystal structure in the Materials Project, relaxed with PBE+U
Lines closer than 0.1° are merged.

Largest 10 diffraction maxima, in order of falling intensity, 5° ≤ 2θ ≤ 70°:
- 21.27°, rel. 100.0
- 24.28°, rel. 48.7
- 24.50°, rel. 36.4
- 40.20°, rel. 32.4
- 12.06°, rel. 25.7
- 30.06°, rel. 23.1
- 53.32°, rel. 14.3
- 51.89°, rel. 13.6
- 40.43°, rel. 13.5
- 53.19°, rel. 12.2

```
VF4
1.0
7.549 0.000 0.000
0.000 5.081 0.000
-1.763 0.000 7.322
V F
4 16
Direct
0.199 0.246 0.310
0.199 0.254 0.810
0.801 0.746 0.190
0.801 0.754 0.690
0.035 0.552 0.216
0.035 0.948 0.716
0.184 0.142 0.055
0.184 0.358 0.555
0.305 0.551 0.899
0.305 0.949 0.399
0.386 0.049 0.808
0.386 0.451 0.308
0.614 0.549 0.692
0.614 0.951 0.192
0.695 0.051 0.601
0.695 0.449 0.101
0.816 0.642 0.445
0.816 0.858 0.945
0.965 0.052 0.284
0.965 0.448 0.784
```



7.
Calculated powder diffractogram
Compound: VF4
Radiation: Cu Kα X-rays
Structure: a crystal structure in the Materials Project, relaxed with PBE+U
Lines closer than 0.1° are merged.

Largest 10 diffraction maxima, in order of falling intensity, 5° ≤ 2θ ≤ 70°:
- 18.60°, rel. 100.0
- 24.81°, rel. 98.7
- 25.58°, rel. 87.3
- 19.02°, rel. 65.1
- 44.83°, rel. 38.7
- 30.20°, rel. 38.6
- 55.24°, rel. 37.5
- 20.32°, rel. 24.2
- 34.43°, rel. 22.3
- 38.60°, rel. 19.0

```
VF4
1.0
10.889 0.000 0.000
0.000 5.612 0.000
0.000 0.000 9.060
V F
8 32
Direct
0.049 0.208 0.000
0.202 0.687 0.212
0.298 0.187 0.712
0.451 0.708 0.500
0.549 0.292 0.000
0.702 0.813 0.212
0.798 0.313 0.712
0.951 0.792 0.500
0.030 0.939 0.905
0.049 0.657 0.340
0.071 0.747 0.625
0.098 0.543 0.063
0.137 0.014 0.150
0.176 0.249 0.591
0.205 0.291 0.884
0.236 0.397 0.272
0.264 0.897 0.772
0.295 0.791 0.384
0.324 0.749 0.091
0.363 0.514 0.650
0.402 0.043 0.563
0.429 0.247 0.125
0.451 0.157 0.840
0.470 0.439 0.405
0.530 0.561 0.905
0.549 0.843 0.340
0.571 0.753 0.625
0.598 0.957 0.063
0.637 0.486 0.150
0.676 0.251 0.591
0.705 0.209 0.884
0.736 0.103 0.272
0.764 0.603 0.772
0.795 0.709 0.384
0.824 0.751 0.091
0.863 0.986 0.650
0.902 0.457 0.563
0.929 0.253 0.125
0.951 0.343 0.840
0.970 0.061 0.405
```



8.
Calculated powder diffractogram
Compound: VF4
Radiation: Cu Kα X-rays
Structure: a crystal structure in the Materials Project, relaxed with PBE+U
Lines closer than 0.1° are merged.

Largest 10 diffraction maxima, in order of falling intensity, 5° ≤ 2θ ≤ 70°:
- 25.24°, rel. 100.0
- 17.66°, rel. 66.8
- 48.29°, rel. 15.4
- 54.45°, rel. 14.9
- 51.56°, rel. 14.4
- 39.22°, rel. 12.6
- 51.81°, rel. 11.5
- 33.02°, rel. 10.3
- 41.58°, rel. 8.5
- 56.06°, rel. 8.4

```
VF4
1.0
5.707 0.000 0.000
0.000 5.241 0.000
-2.578 0.000 4.773
V F
2 8
Direct
0.000 0.000 0.000
0.000 0.500 0.500
0.073 0.193 0.340
0.073 0.307 0.840
0.339 0.587 0.651
0.339 0.913 0.151
0.661 0.087 0.849
0.661 0.413 0.349
0.927 0.693 0.160
0.927 0.807 0.660
```



9.
Calculated powder diffractogram
Compound: VF4
Radiation: Cu Kα X-rays
Structure: a crystal structure in the Materials Project, relaxed with PBE+U
Lines closer than 0.1° are merged.

Largest 10 diffraction maxima, in order of falling intensity, 5° ≤ 2θ ≤ 70°:
- 22.58°, rel. 100.0
- 16.90°, rel. 68.0
- 28.22°, rel. 29.8
- 28.44°, rel. 29.8
- 37.16°, rel. 20.4
- 37.03°, rel. 18.6
- 47.63°, rel. 17.8
- 46.09°, rel. 12.4
- 36.54°, rel. 11.6
- 47.89°, rel. 9.2

```
VF4
1.0
5.913 -2.784 0.000
5.913 2.784 0.000
-2.570 0.000 4.944
V F
2 8
Direct
0.244 0.756 0.500
0.756 0.244 0.000
0.033 0.196 0.293
0.196 0.033 0.793
0.298 0.469 0.223
0.469 0.298 0.723
0.530 0.710 0.461
0.710 0.530 0.961
0.804 0.958 0.048
0.958 0.804 0.548
```